This entry pairs a crystal structure of Tb3YTl2O with its computed PXRD pattern. Radiation: copper Kα. Structure: a crystal structure in Alexandria, relaxed with PBE.
Kinematic intensities with the Lorentz-polarization factor, no thermal factor.

Structural model:
a = 8.886 Å, b = 8.886 Å, c = 8.886 Å
α = 149.63°, β = 149.57°, γ = 43.53°
Positions (direct):
Tb1 0.000 0.000 0.000
Tb2 0.329 0.829 0.500
Tb3 0.671 0.171 0.500
Y1 0.500 0.500 0.000
Tl1 0.139 0.639 0.500
Tl2 0.861 0.361 0.500
O1 0.500 0.000 0.500

Top 10 peaks for 2θ = 10–90°, in order of rising 2θ:
Position (°2θ)  I_rel
27.06  42
29.18  68
32.55  34
33.26  26
34.84  100
38.65  68
51.39  38
55.80  23
66.11  18
67.50  30


This entry pairs a crystal structure of TbU2O7 with its computed PXRD pattern. Radiation: copper Kα. Structure: a crystal structure in Alexandria, relaxed with PBE.
Kinematic intensities with the Lorentz-polarization factor, no thermal factor.

Structural model:
a = 10.477 Å, b = 10.477 Å, c = 10.477 Å
α = 21.09°, β = 21.09°, γ = 21.09°
Positions (direct):
Tb1 0.000 0.000 0.000
U1 0.432 0.432 0.432
U2 0.568 0.568 0.568
O1 0.077 0.077 0.077
O2 0.220 0.220 0.220
O3 0.362 0.362 0.362
O4 0.500 0.500 0.500
O5 0.638 0.638 0.638
O6 0.780 0.780 0.780
O7 0.923 0.923 0.923

Top 10 peaks for 2θ = 10–90°, in order of rising 2θ:
Position (°2θ)  I_rel
17.32  26
26.11  48
27.01  33
27.48  100
30.60  57
33.85  68
47.42  57
49.81  44
54.93  38
55.26  22


This entry pairs a crystal structure of Tb2YUO8 with its computed PXRD pattern. Radiation: copper Kα. Structure: a crystal structure in Alexandria, relaxed with PBE.
Kinematic intensities with the Lorentz-polarization factor, no thermal factor.

Structural model:
a = 3.869 Å, b = 5.353 Å, c = 7.562 Å
α = 90.00°, β = 90.00°, γ = 90.00°
Positions (direct):
Tb1 0.000 0.000 0.250
Tb2 0.000 0.000 0.750
Y1 0.500 0.500 0.000
U1 0.500 0.500 0.500
O1 0.000 0.250 0.000
O2 0.000 0.269 0.500
O3 0.000 0.731 0.500
O4 0.000 0.750 0.000
O5 0.500 0.260 0.272
O6 0.500 0.260 0.728
O7 0.500 0.740 0.272
O8 0.500 0.740 0.728

Top 10 peaks for 2θ = 10–90°, in order of rising 2θ:
Position (°2θ)  I_rel
11.70  19
28.47  100
28.91  96
33.13  42
33.48  20
46.97  18
47.82  68
48.13  16
56.10  30
56.85  44